# 1
Diffraction record for AcInSb. The PXRD pattern is theoretical, not measured: it uses a DFT-relaxed cell (GGA-PBE, Alexandria) and CuKα.

Peak list (10 most intense, 10° ≤ 2θ ≤ 80°, in order of falling intensity)
- 30.48 deg, d 2.933, rel. 100.0
- 25.50 deg, d 3.493, rel. 60.8
- 34.37 deg, d 2.609, rel. 45.3
- 33.56 deg, d 2.670, rel. 42.3
- 30.26 deg, d 2.953, rel. 39.7
- 34.40 deg, d 2.607, rel. 36.5
- 23.40 deg, d 3.802, rel. 34.3
- 40.77 deg, d 2.213, rel. 33.2
- 23.98 deg, d 3.711, rel. 24.3
- 29.32 deg, d 3.046, rel. 21.4

Structural model:
abc: 4.4268 6.5130 7.9338
angles: 74.40 89.96 70.14
Space group P-1 (No. 2)
One atom of each set of equivalent atoms:
1 Ac 0.1535 0.1927 0.1876 [2 per cell]
2 In 0.1205 0.2613 0.6115 [2 per cell]
3 Sb 0.4246 0.6494 0.1625 [2 per cell]


# 2
Diffraction record for TaFe4W. The PXRD pattern is theoretical, not measured: it uses a DFT-relaxed cell (GGA-PBE, Alexandria) and CuKα.

Peak list (10 most intense, 10° ≤ 2θ ≤ 80°, in order of falling intensity)
- 41.06 deg, d 2.198, rel. 100.0
- 44.74 deg, d 2.026, rel. 85.0
- 37.98 deg, d 2.369, rel. 67.5
- 45.72 deg, d 1.984, rel. 46.7
- 70.70 deg, d 1.332, rel. 38.4
- 76.68 deg, d 1.243, rel. 22.7
- 73.34 deg, d 1.291, rel. 19.0
- 21.66 deg, d 4.104, rel. 18.5
- 24.51 deg, d 3.633, rel. 15.7
- 44.14 deg, d 2.052, rel. 15.0

Structural model:
abc: 4.7384 4.7384 7.8095
angles: 90.00 90.00 120.00
Space group P-3m1 (No. 164)
One atom of each set of equivalent atoms:
1 Ta 0.3333 0.6667 0.4266 [2 per cell]
2 Fe 0.0000 0.0000 0.0000 [1 per cell]
3 Fe 0.0000 0.0000 0.5000 [1 per cell]
4 Fe 0.1697 0.3395 0.7511 [6 per cell]
5 W 0.3333 0.6667 0.0578 [2 per cell]